This entry pairs a crystal structure of Pr4SiPtCl2 with its computed X-ray powder pattern. Radiation: λ = 1.5418 Å (Cu Kα). Structure: DFT lattice parameters and positions (PBE).
Intensities are scaled so that the largest is 100.

Cell and atoms:
Lattice parameters (Å, degrees): 7.3610 4.1832 7.6151 90.00 108.49 90.00
Space group P2/m (No. 10)
Symmetry-distinct sites (fractional):
Pr  0.2196  0.0000  0.2346
Pr  0.2313  0.5000  0.7408
Si  0.0000  0.0000  0.5000
Pt  0.0000  0.5000  0.0000
Cl  0.5000  0.0000  0.0000
Cl  0.5000  0.5000  0.5000

Principal peaks in the range 5° ≤ 2θ ≤ 70°, by intensity:
29.5 deg, intensity 100, (1 1 1)
29.4 deg, intensity 52, (2 0 -2)
41.6 deg, intensity 40, (1 1 -3)
42.7 deg, intensity 34, (3 1 -1)
12.7 deg, intensity 27, (1 0 0)
53.2 deg, intensity 23, (2 2 -2)